Diffraction record for LaPmDy3Tm. The X-ray diffraction stick pattern is computed, not measured: it uses the PBE geometry in Alexandria and Cu Kα, 1.54184 Å.
Neutral-atom scattering factors, no anomalous dispersion.

Atomic structure:
Cell lengths 19.743, 5.670, 7.093 Å; angles 90.00, 90.78, 90.00 degrees
Space group C2/m (No. 12)
One atom of each set of equivalent atoms:
La  0.145  0.000  0.028
Pm  0.052  0.500  0.270
Dy  0.023  0.000  0.734
Dy  0.165  0.500  0.725
Dy  0.220  0.500  0.245
Tm  0.150  0.000  0.459

Main lines, by angle (15° ≤ 2θ ≤ 90°):
index, 2theta, I (rel.)
5 1 -1, 30.2, 100
5 1 1, 30.5, 61
0 2 0, 31.6, 88
3 1 -2, 32.6, 49
3 1 2, 32.9, 66
7 1 0, 35.6, 43